MgSb2: simulated X-ray powder pattern (Cu Kα, 1.54184 Å), based on a cell relaxed with PBE.
Kinematic intensities with the Lorentz-polarization factor, no thermal factor.

Cell and atoms:
```
MgSb2
1.0
11.971 0.000 0.000
0.000 3.329 0.000
-2.550 0.000 7.908
Mg Sb
4 8
Direct
0.192 0.000 0.146
0.308 0.500 0.854
0.692 0.500 0.146
0.808 0.000 0.854
0.051 0.500 0.844
0.157 0.000 0.553
0.343 0.500 0.447
0.449 0.000 0.156
0.551 0.000 0.844
0.657 0.500 0.553
0.843 0.000 0.447
0.949 0.500 0.156
```

Peak list (8 most intense, 10° ≤ 2θ ≤ 80°, in order of falling intensity)
2θ (°), I (rel.), hkl
21.8, 100.0, 2 0 1
34.5, 99.2, 1 1 -2
32.6, 88.2, 4 0 -2
35.9, 86.0, 3 1 0
31.1, 55.1, 1 1 1
34.0, 48.4, 0 0 3
46.7, 36.0, 3 1 2
29.2, 35.4, 1 1 -1